Structure and computed XRD peak list of Cs2KAlBr6 (a DFT-relaxed cell (PBE, the Materials Project); Cu Ka).

Main lines, in order of rising 2θ (2θ = 10–90°):
2θ (°)	d_spacing	I/Imax
21.96	4.048	20
26.98	3.305	100
31.25	2.862	73
40.96	2.203	12
44.78	2.024	47
53.06	1.726	35
55.62	1.652	15
71.89	1.313	11
74.07	1.280	15
82.57	1.168	10

```
Cs2KAlBr6
1.0
0.000 5.724 5.724
5.724 0.000 5.724
5.724 5.724 0.000
Cs K Al Br
2 1 1 6
Direct
0.250 0.250 0.250
0.750 0.750 0.750
0.000 0.000 0.000
0.500 0.500 0.500
0.279 0.279 0.721
0.279 0.721 0.279
0.279 0.721 0.721
0.721 0.279 0.279
0.721 0.279 0.721
0.721 0.721 0.279
```

Structure and computed XRD peak list of Cs2AlTlBr6 (a DFT-relaxed cell (PBE, the Materials Project); Cu Ka).

Main lines, in order of rising 2θ (2θ = 10–90°):
2θ (°)	d_spacing	I/Imax
21.85	4.067	65
25.68	3.469	29
26.85	3.321	55
31.10	2.876	100
33.97	2.639	36
38.33	2.348	23
44.55	2.034	66
50.15	1.819	21
55.33	1.660	21
73.65	1.286	23

```
Cs2AlTlBr6
1.0
0.000 5.752 5.752
5.752 0.000 5.752
5.752 5.752 0.000
Cs Al Tl Br
2 1 1 6
Direct
0.250 0.250 0.250
0.750 0.750 0.750
0.000 0.000 0.000
0.500 0.500 0.500
0.221 0.221 0.779
0.221 0.779 0.221
0.221 0.779 0.779
0.779 0.221 0.221
0.779 0.221 0.779
0.779 0.779 0.221
```